No. 1
For Na2PaSO8, a cell relaxed with PBE gives the computed PXRD pattern in this record (Cu Ka).
Kinematic intensities with the Lorentz-polarization factor, no thermal factor.

Cell and atoms:
Cell lengths 5.1624, 5.1624, 5.8701 Å; angles 90.00, 90.00, 120.00 degrees
Fractional coordinates of all 12 atoms:
Na: 0.3333 0.6667 0.4017
Na: 0.6667 0.3333 0.5983
Pa: 0.0000 0.0000 0.0000
S: 0.0000 0.0000 0.5000
O: 0.1480 0.2960 0.6729
O: 0.1480 0.8520 0.6729
O: 0.2960 0.1480 0.3271
O: 0.3333 0.6667 0.0230
O: 0.6667 0.3333 0.9770
O: 0.7040 0.8520 0.6729
O: 0.8520 0.1480 0.3271
O: 0.8520 0.7040 0.3271

Top 10 peaks for 2θ from 15° to 90°, low angle first:
d [Å]  2θ/deg  Rel. int.
4.471  19.86  100
3.557  25.04  57
2.581  34.76  39
2.454  36.63  33
2.363  38.08  25
2.089  43.31  25
1.938  46.87  35
1.778  51.38  20
1.624  56.69  17
1.464  63.53  17

No. 2
For Na2PaSbO8, a cell relaxed with PBE gives the computed PXRD pattern in this record (Cu Ka).
Kinematic intensities with the Lorentz-polarization factor, no thermal factor.

Cell and atoms:
Cell lengths 3.8402, 6.0210, 7.3414 Å; angles 86.14, 82.78, 75.88 degrees
Fractional coordinates of all 12 atoms:
Na: 0.0869 0.0502 0.2465
Na: 0.9131 0.9498 0.7535
Pa: 0.5000 0.5000 0.5000
Sb: 0.5000 0.5000 0.0000
O: 0.0215 0.7525 0.0550
O: 0.0473 0.7268 0.4696
O: 0.2991 0.3038 0.8405
O: 0.4572 0.3211 0.2299
O: 0.5428 0.6789 0.7701
O: 0.7009 0.6962 0.1595
O: 0.9527 0.2732 0.5304
O: 0.9785 0.2475 0.9450

Top 10 peaks for 2θ from 15° to 90°, low angle first:
d [Å]  2θ/deg  Rel. int.
5.835  15.18  100
3.700  24.05  24
3.639  24.46  28
3.527  25.25  38
3.142  28.41  25
3.036  29.42  32
2.835  31.56  30
2.716  32.98  15
2.613  34.32  15
2.247  40.13  19

No. 3
For Na2Sc3PaO8, a cell relaxed with PBE gives the computed PXRD pattern in this record (Cu Ka).
Kinematic intensities with the Lorentz-polarization factor, no thermal factor.

Cell and atoms:
Cell lengths 6.8853, 6.8853, 6.8853 Å; angles 56.71, 56.71, 56.71 degrees
Fractional coordinates of all 14 atoms:
Na: 0.0000 0.0000 0.0000
Na: 0.3494 0.3494 0.3494
Sc: 0.3503 0.3503 0.8438
Sc: 0.3503 0.8438 0.3503
Sc: 0.8438 0.3503 0.3503
Pa: 0.8209 0.8209 0.8209
O: 0.0566 0.0566 0.5868
O: 0.0566 0.5868 0.0566
O: 0.1262 0.1262 0.1262
O: 0.1333 0.5995 0.5995
O: 0.5689 0.5689 0.5689
O: 0.5868 0.0566 0.0566
O: 0.5995 0.1333 0.5995
O: 0.5995 0.5995 0.1333

Top 10 peaks for 2θ from 15° to 90°, low angle first:
d [Å]  2θ/deg  Rel. int.
5.757  15.39  100
5.382  16.47  48
4.736  18.73  49
3.434  25.95  25
3.270  27.27  30
2.795  32.02  40
2.691  33.29  20
2.368  38.00  49
2.161  41.80  22
1.635  56.26  19

No. 4
For NaPaSe2O6, a cell relaxed with PBE gives the computed PXRD pattern in this record (Cu Ka).
Kinematic intensities with the Lorentz-polarization factor, no thermal factor.

Cell and atoms:
Cell lengths 6.1867, 6.1867, 6.1867 Å; angles 57.04, 57.04, 57.04 degrees
Fractional coordinates of all 10 atoms:
Na: 0.0000 0.0000 0.0000
Pa: 0.5000 0.5000 0.5000
Se: 0.2658 0.2658 0.2658
Se: 0.7342 0.7342 0.7342
O: 0.0937 0.7108 0.4579
O: 0.2892 0.5421 0.9063
O: 0.4579 0.0937 0.7108
O: 0.5421 0.9063 0.2892
O: 0.7108 0.4579 0.0937
O: 0.9063 0.2892 0.5421

Top 10 peaks for 2θ from 15° to 90°, low angle first:
d [Å]  2θ/deg  Rel. int.
5.162  17.18  18
4.858  18.26  97
3.087  28.92  100
2.954  30.26  71
2.649  33.83  28
2.564  35.00  22
2.134  42.35  32
1.810  50.41  18
1.730  52.93  37
1.705  53.75  25

No. 5
For Na2PaSeO5, a cell relaxed with PBE gives the computed PXRD pattern in this record (Cu Ka).
Kinematic intensities with the Lorentz-polarization factor, no thermal factor.

Cell and atoms:
Cell lengths 6.9151, 6.9151, 6.9151 Å; angles 119.98, 119.98, 90.03 degrees
Fractional coordinates of all 18 atoms:
Na: 0.1663 0.6663 0.8326
Na: 0.3337 0.1663 0.5000
Na: 0.6663 0.8337 0.5000
Na: 0.8337 0.3337 0.1674
Pa: 0.2500 0.2500 0.0000
Pa: 0.7500 0.7500 0.0000
Se: 0.2500 0.7500 0.5000
Se: 0.7500 0.2500 0.5000
O: 0.0000 0.0000 0.0000
O: 0.0125 0.1769 0.5000
O: 0.1769 0.6769 0.1644
O: 0.3231 0.4875 0.5000
O: 0.4875 0.9875 0.1644
O: 0.5000 0.5000 0.0000
O: 0.5125 0.0125 0.8356
O: 0.6769 0.5125 0.5000
O: 0.8231 0.3231 0.8356
O: 0.9875 0.8231 0.5000

Top 10 peaks for 2θ from 15° to 90°, low angle first:
d [Å]  2θ/deg  Rel. int.
4.889  18.14  100
3.458  25.76  87
2.823  31.69  90
2.445  36.76  59
2.187  41.28  76
1.996  45.44  49
1.729  52.96  33
1.630  56.45  32
1.547  59.80  28
1.474  63.05  40

No. 6
For Na3SrPa4O12, a cell relaxed with PBE gives the computed PXRD pattern in this record (Cu Ka).
Kinematic intensities with the Lorentz-polarization factor, no thermal factor.

Cell and atoms:
Cell lengths 7.3745, 7.3745, 7.3745 Å; angles 109.47, 109.47, 109.47 degrees
Fractional coordinates of all 20 atoms:
Na: 0.0000 0.5000 0.5000
Na: 0.5000 0.0000 0.5000
Na: 0.5000 0.5000 0.0000
Sr: 0.0000 0.0000 0.0000
Pa: 0.0000 0.0000 0.5000
Pa: 0.0000 0.5000 0.0000
Pa: 0.5000 0.0000 0.0000
Pa: 0.5000 0.5000 0.5000
O: 0.0956 0.2864 0.8092
O: 0.1908 0.4772 0.2864
O: 0.1908 0.9044 0.7136
O: 0.2864 0.1908 0.4772
O: 0.2864 0.8092 0.0956
O: 0.4772 0.2864 0.1908
O: 0.5228 0.7136 0.8092
O: 0.7136 0.1908 0.9044
O: 0.7136 0.8092 0.5228
O: 0.8092 0.0956 0.2864
O: 0.8092 0.5228 0.7136
O: 0.9044 0.7136 0.1908

Top 10 peaks for 2θ from 15° to 90°, low angle first:
d [Å]  2θ/deg  Rel. int.
4.258  20.86  72
3.011  29.67  100
2.458  36.55  14
2.129  42.46  26
1.904  47.77  35
1.738  52.66  48
1.505  61.61  16
1.419  65.80  16
1.346  69.86  19
1.138  85.29  24